For Y2WO6, a crystal structure in Alexandria, relaxed with GGA+U gives the computed X-ray powder pattern in this record (CuKα).
Kinematic intensities with the Lorentz-polarization factor, no thermal factor.

Peak list (8 most intense, 10° ≤ 2θ ≤ 90°, by intensity)
| h k l | d_spacing | Rel. int. |
| --- | --- | --- |
| 1 1 2 | 2.796 | 100 |
| 1 1 1 | 3.469 | 51 |
| 2 2 0 | 1.915 | 46 |
| 1 1 0 | 3.831 | 39 |
| 0 2 0 | 2.728 | 34 |
| 0 1 1 | 4.539 | 22 |
| 3 1 2 | 1.573 | 19 |
| 1 3 2 | 1.588 | 18 |

Crystal structure
Unit cell a=5.3792 b=5.4564 c=8.1796 alpha=90.00 beta=90.00 gamma=90.00
Space group Pmmn (No. 59, origin choice 2)
Symmetry-distinct sites (fractional):
Y (0.2500, 0.2500, 0.0043)
Y (0.2500, 0.7500, 0.3246)
W (0.2500, 0.7500, 0.7221)
O (0.0166, 0.5063, 0.8293)
O (0.0176, 0.7500, 0.5520)